This entry pairs a crystal structure of AcCrReO6 with its simulated PXRD pattern. Radiation: copper Kα. Structure: the PBE+U geometry in Alexandria.

Atomic structure:
Unit cell a=5.2660 b=5.2660 c=5.3212 alpha=90.00 beta=90.00 gamma=120.00
Element x y z (fractional)
1 Ac 0.0000 0.0000 0.0000
2 Cr 0.3333 0.6667 0.5000
3 Re 0.6667 0.3333 0.5000
4 O 0.3836 0.0102 0.7052
5 O 0.3836 0.3734 0.2948
6 O 0.6266 0.0102 0.2948
7 O 0.6266 0.6164 0.7052
8 O 0.9898 0.3734 0.7052
9 O 0.9898 0.6164 0.2948

Peak list (8 most intense, 5 to 70 degrees two-theta, in order of falling intensity)
d [Å], 2θ (°), I_rel, hkl
3.463, 25.73, 100, 1 0 1
1.871, 48.65, 34, 2 -1 2
2.633, 34.05, 32, 1 1 0
2.096, 43.16, 24, 2 0 1
1.640, 56.08, 24, 3 -1 1
4.561, 19.46, 15, 1 0 0
1.653, 55.59, 11, 1 0 3
1.520, 60.95, 9, 3 0 0